Record 1
Calculated powder diffractogram
Compound: ScMn2Al10
Radiation: copper Kα
Structure: a DFT-relaxed cell (PBE, Alexandria)
Lines closer than 0.1° are merged.

Cell and atoms:
Lattice parameters (Å, degrees): 6.766 6.766 8.931 90.00 90.00 97.26
Sites, in units of the cell vectors:
Sc: 0.133 0.867 0.750
Sc: 0.867 0.133 0.250
Mn: 0.000 0.500 0.000
Mn: 0.000 0.500 0.500
Mn: 0.500 0.000 0.000
Mn: 0.500 0.000 0.500
Al: 0.138 0.418 0.750
Al: 0.148 0.852 0.095
Al: 0.148 0.852 0.405
Al: 0.213 0.474 0.250
Al: 0.229 0.229 0.000
Al: 0.229 0.229 0.500
Al: 0.371 0.629 0.540
Al: 0.371 0.629 0.960
Al: 0.418 0.138 0.250
Al: 0.474 0.213 0.750
Al: 0.526 0.787 0.250
Al: 0.582 0.862 0.750
Al: 0.629 0.371 0.040
Al: 0.629 0.371 0.460
Al: 0.771 0.771 0.000
Al: 0.771 0.771 0.500
Al: 0.787 0.526 0.750
Al: 0.852 0.148 0.595
Al: 0.852 0.148 0.905
Al: 0.862 0.582 0.250

The 8 most intense peaks (2θ = 10–90°), most intense first:
| d_spacing | 2θ/deg | I/Imax |
| --- | --- | --- |
| 2.207 | 40.9 | 100 |
| 2.235 | 40.4 | 100 |
| 1.979 | 45.9 | 77 |
| 1.999 | 45.4 | 56 |
| 2.227 | 40.5 | 45 |
| 4.469 | 19.9 | 39 |
| 5.077 | 17.5 | 35 |
| 2.409 | 37.3 | 34 |

---

Record 2
Calculated powder diffractogram
Compound: La5HgPd2
Radiation: copper Kα
Structure: a DFT-relaxed cell (PBE, Alexandria)
Lines closer than 0.1° are merged.

Cell and atoms:
Lattice parameters (Å, degrees): 9.002 9.002 9.002 125.18 125.18 81.24
Sites, in units of the cell vectors:
La: 0.000 0.000 0.000
La: 0.017 0.517 0.820
La: 0.197 0.017 0.500
La: 0.303 0.803 0.820
La: 0.483 0.303 0.500
La: 0.500 0.500 0.000
La: 0.517 0.697 0.500
La: 0.697 0.197 0.180
La: 0.803 0.983 0.500
La: 0.983 0.483 0.180
Hg: 0.250 0.250 0.000
Hg: 0.750 0.750 0.000
Pd: 0.130 0.370 0.500
Pd: 0.370 0.870 0.240
Pd: 0.630 0.130 0.760
Pd: 0.870 0.630 0.500

The 8 most intense peaks (2θ = 10–90°), most intense first:
| d_spacing | 2θ/deg | I/Imax |
| --- | --- | --- |
| 2.875 | 31.1 | 100 |
| 2.621 | 34.2 | 75 |
| 2.636 | 34.0 | 39 |
| 2.952 | 30.3 | 27 |
| 1.696 | 54.1 | 18 |
| 2.930 | 30.5 | 18 |
| 1.431 | 65.2 | 17 |
| 1.458 | 63.8 | 16 |

---

Record 3
Calculated powder diffractogram
Compound: CsKMg14O15
Radiation: copper Kα
Structure: a DFT-relaxed cell (PBE, Alexandria)
Lines closer than 0.1° are merged.

Cell and atoms:
Lattice parameters (Å, degrees): 4.503 8.965 8.649 90.00 90.00 90.00
Sites, in units of the cell vectors:
Cs: 0.000 0.000 0.000
K: 0.000 0.500 0.868
Mg: 0.000 0.000 0.406
Mg: 0.000 0.240 0.641
Mg: 0.000 0.284 0.130
Mg: 0.000 0.500 0.382
Mg: 0.000 0.716 0.130
Mg: 0.000 0.760 0.641
Mg: 0.500 0.000 0.153
Mg: 0.500 0.000 0.648
Mg: 0.500 0.249 0.384
Mg: 0.500 0.254 0.879
Mg: 0.500 0.500 0.133
Mg: 0.500 0.500 0.625
Mg: 0.500 0.746 0.879
Mg: 0.500 0.751 0.384
O: 0.000 0.000 0.627
O: 0.000 0.231 0.366
O: 0.000 0.243 0.880
O: 0.000 0.500 0.157
O: 0.000 0.500 0.600
O: 0.000 0.757 0.880
O: 0.000 0.769 0.366
O: 0.500 0.000 0.380
O: 0.500 0.000 0.880
O: 0.500 0.242 0.134
O: 0.500 0.251 0.629
O: 0.500 0.500 0.376
O: 0.500 0.500 0.898
O: 0.500 0.749 0.629
O: 0.500 0.758 0.134

The 8 most intense peaks (2θ = 10–90°), most intense first:
| d_spacing | 2θ/deg | I/Imax |
| --- | --- | --- |
| 2.251 | 40.0 | 100 |
| 2.241 | 40.2 | 92 |
| 1.588 | 58.1 | 60 |
| 2.161 | 41.8 | 53 |
| 2.560 | 35.0 | 47 |
| 8.649 | 10.2 | 46 |
| 2.946 | 30.3 | 37 |
| 3.987 | 22.3 | 34 |

---

Record 4
Calculated powder diffractogram
Compound: BaGa12Ag6
Radiation: copper Kα
Structure: a DFT-relaxed cell (PBE, Alexandria)
Lines closer than 0.1° are merged.

Cell and atoms:
Lattice parameters (Å, degrees): 7.510 7.510 7.510 103.12 103.12 103.12
Sites, in units of the cell vectors:
Ba: 0.000 0.000 0.000
Ga: 0.106 0.500 0.894
Ga: 0.106 0.894 0.500
Ga: 0.145 0.390 0.390
Ga: 0.390 0.145 0.390
Ga: 0.390 0.390 0.145
Ga: 0.500 0.106 0.894
Ga: 0.500 0.894 0.106
Ga: 0.610 0.610 0.855
Ga: 0.610 0.855 0.610
Ga: 0.855 0.610 0.610
Ga: 0.894 0.106 0.500
Ga: 0.894 0.500 0.106
Ag: 0.276 0.703 0.703
Ag: 0.297 0.297 0.724
Ag: 0.297 0.724 0.297
Ag: 0.703 0.276 0.703
Ag: 0.703 0.703 0.276
Ag: 0.724 0.297 0.297

The 8 most intense peaks (2θ = 10–90°), most intense first:
| d_spacing | 2θ/deg | I/Imax |
| --- | --- | --- |
| 2.813 | 31.8 | 100 |
| 2.271 | 39.7 | 84 |
| 2.711 | 33.0 | 82 |
| 2.173 | 41.6 | 80 |
| 2.102 | 43.0 | 76 |
| 1.876 | 48.5 | 57 |
| 3.575 | 24.9 | 50 |
| 2.330 | 38.6 | 50 |

---

Record 5
Calculated powder diffractogram
Compound: Na4Tl5As2
Radiation: copper Kα
Structure: a DFT-relaxed cell (PBE, Alexandria)
Lines closer than 0.1° are merged.

Cell and atoms:
Lattice parameters (Å, degrees): 7.929 4.303 9.410 90.00 96.31 90.00
Sites, in units of the cell vectors:
Na: 0.199 0.000 0.340
Na: 0.206 0.000 0.933
Na: 0.794 0.000 0.067
Na: 0.801 0.000 0.660
Tl: 0.139 0.500 0.633
Tl: 0.468 0.500 0.163
Tl: 0.500 0.500 0.500
Tl: 0.532 0.500 0.837
Tl: 0.861 0.500 0.367
As: 0.073 0.500 0.127
As: 0.927 0.500 0.873

The 8 most intense peaks (2θ = 10–90°), most intense first:
| d_spacing | 2θ/deg | I/Imax |
| --- | --- | --- |
| 4.303 | 20.6 | 100 |
| 2.906 | 30.8 | 31 |
| 3.016 | 29.6 | 27 |
| 2.865 | 31.2 | 24 |
| 2.796 | 32.0 | 24 |
| 2.151 | 42.0 | 23 |
| 2.344 | 38.4 | 22 |
| 2.627 | 34.1 | 22 |

---

Record 6
Calculated powder diffractogram
Compound: Nd5Dy2TmTh
Radiation: copper Kα
Structure: a DFT-relaxed cell (PBE, Alexandria)
Lines closer than 0.1° are merged.

Cell and atoms:
Lattice parameters (Å, degrees): 11.180 11.180 10.602 90.00 90.00 151.97
Sites, in units of the cell vectors:
Nd: 0.000 0.000 0.000
Nd: 0.000 0.000 0.500
Nd: 0.126 0.874 0.750
Nd: 0.222 0.778 0.057
Nd: 0.222 0.778 0.443
Nd: 0.499 0.501 0.250
Nd: 0.501 0.499 0.750
Nd: 0.778 0.222 0.557
Nd: 0.778 0.222 0.943
Nd: 0.874 0.126 0.250
Dy: 0.387 0.613 0.503
Dy: 0.387 0.613 0.997
Dy: 0.613 0.387 0.003
Dy: 0.613 0.387 0.497
Tm: 0.102 0.898 0.250
Tm: 0.898 0.102 0.750
Th: 0.288 0.712 0.750
Th: 0.712 0.288 0.250

The 8 most intense peaks (2θ = 10–90°), most intense first:
| d_spacing | 2θ/deg | I/Imax |
| --- | --- | --- |
| 2.854 | 31.3 | 100 |
| 2.709 | 33.1 | 37 |
| 1.894 | 48.0 | 19 |
| 2.651 | 33.8 | 19 |
| 1.590 | 58.0 | 18 |
| 2.932 | 30.5 | 15 |
| 3.356 | 26.6 | 13 |
| 2.739 | 32.7 | 13 |

---

Record 7
Calculated powder diffractogram
Compound: Mg2ScCr3S8
Radiation: copper Kα
Structure: a DFT-relaxed cell (PBE, Alexandria)
Lines closer than 0.1° are merged.

Cell and atoms:
Lattice parameters (Å, degrees): 7.290 7.290 7.290 60.16 60.16 60.16
Sites, in units of the cell vectors:
Mg: 0.124 0.124 0.124
Mg: 0.876 0.876 0.876
Sc: 0.500 0.500 0.500
Cr: 0.000 0.500 0.500
Cr: 0.500 0.000 0.500
Cr: 0.500 0.500 0.000
S: 0.253 0.253 0.717
S: 0.253 0.717 0.253
S: 0.263 0.263 0.263
S: 0.283 0.747 0.747
S: 0.717 0.253 0.253
S: 0.737 0.737 0.737
S: 0.747 0.283 0.747
S: 0.747 0.747 0.283

The 8 most intense peaks (2θ = 10–90°), most intense first:
| d_spacing | 2θ/deg | I/Imax |
| --- | --- | --- |
| 2.581 | 34.8 | 100 |
| 5.956 | 14.9 | 70 |
| 3.112 | 28.7 | 70 |
| 1.827 | 49.9 | 50 |
| 1.986 | 45.7 | 47 |
| 1.823 | 50.0 | 45 |
| 1.491 | 62.3 | 14 |
| 1.290 | 73.4 | 13 |

---

Record 8
Calculated powder diffractogram
Compound: Er2Tm8Sc3
Radiation: copper Kα
Structure: a DFT-relaxed cell (PBE, Alexandria)
Lines closer than 0.1° are merged.

Cell and atoms:
Lattice parameters (Å, degrees): 5.535 6.142 11.529 78.69 79.65 88.61
Sites, in units of the cell vectors:
Er: 0.247 0.162 0.007
Er: 0.753 0.838 0.993
Tm: 0.118 0.055 0.337
Tm: 0.189 0.605 0.169
Tm: 0.304 0.716 0.848
Tm: 0.360 0.260 0.699
Tm: 0.640 0.740 0.301
Tm: 0.696 0.284 0.152
Tm: 0.811 0.395 0.831
Tm: 0.882 0.945 0.663
Sc: 0.000 0.500 0.500
Sc: 0.435 0.762 0.561
Sc: 0.565 0.238 0.439

The 8 most intense peaks (2θ = 10–90°), most intense first:
| d_spacing | 2θ/deg | I/Imax |
| --- | --- | --- |
| 2.737 | 32.7 | 100 |
| 2.914 | 30.7 | 68 |
| 2.760 | 32.4 | 66 |
| 2.712 | 33.0 | 58 |
| 2.631 | 34.1 | 57 |
| 2.648 | 33.9 | 47 |
| 1.803 | 50.6 | 20 |
| 1.516 | 61.1 | 18 |

---

Record 9
Calculated powder diffractogram
Compound: Rb4Br3
Radiation: copper Kα
Structure: a DFT-relaxed cell (PBE, Alexandria)
Lines closer than 0.1° are merged.

Cell and atoms:
Lattice parameters (Å, degrees): 16.792 16.792 16.792 16.91 16.91 16.91
Sites, in units of the cell vectors:
Rb: 0.123 0.123 0.123
Rb: 0.374 0.374 0.374
Rb: 0.626 0.626 0.626
Rb: 0.877 0.877 0.877
Br: 0.000 0.000 0.000
Br: 0.251 0.251 0.251
Br: 0.749 0.749 0.749

The 8 most intense peaks (2θ = 10–90°), most intense first:
| d_spacing | 2θ/deg | I/Imax |
| --- | --- | --- |
| 3.521 | 25.3 | 100 |
| 2.511 | 35.8 | 39 |
| 2.469 | 36.4 | 38 |
| 2.022 | 44.8 | 21 |
| 1.586 | 58.2 | 18 |
| 1.564 | 59.1 | 18 |
| 1.434 | 65.1 | 13 |
| 1.761 | 51.9 | 13 |

---

Record 10
Calculated powder diffractogram
Compound: Pr6SiPt2Br3
Radiation: copper Kα
Structure: a DFT-relaxed cell (PBE, Alexandria)
Lines closer than 0.1° are merged.

Cell and atoms:
Lattice parameters (Å, degrees): 7.440 7.440 7.951 99.00 99.00 119.93
Sites, in units of the cell vectors:
Pr: 0.090 0.430 0.793
Pr: 0.229 0.229 0.206
Pr: 0.430 0.090 0.793
Pr: 0.570 0.910 0.207
Pr: 0.771 0.771 0.794
Pr: 0.910 0.570 0.207
Si: 0.500 0.500 0.000
Pt: 0.167 0.833 0.000
Pt: 0.833 0.167 0.000
Br: 0.000 0.000 0.500
Br: 0.341 0.659 0.500
Br: 0.659 0.341 0.500

The 8 most intense peaks (2θ = 10–90°), most intense first:
| d_spacing | 2θ/deg | I/Imax |
| --- | --- | --- |
| 3.110 | 28.7 | 100 |
| 2.148 | 42.1 | 39 |
| 2.254 | 40.0 | 32 |
| 1.768 | 51.7 | 19 |
| 7.553 | 11.7 | 19 |
| 2.442 | 36.8 | 12 |
| 1.365 | 68.8 | 11 |
| 1.260 | 75.5 | 10 |

---

Record 11
Calculated powder diffractogram
Compound: Ce6IrRu2
Radiation: copper Kα
Structure: a DFT-relaxed cell (PBE, Alexandria)
Lines closer than 0.1° are merged.

Cell and atoms:
Lattice parameters (Å, degrees): 5.681 5.681 8.627 100.50 100.50 49.17
Sites, in units of the cell vectors:
Ce: 0.054 0.054 0.332
Ce: 0.320 0.320 0.915
Ce: 0.392 0.392 0.332
Ce: 0.608 0.608 0.668
Ce: 0.680 0.680 0.085
Ce: 0.946 0.946 0.668
Ir: 0.000 0.000 0.000
Ru: 0.272 0.272 0.625
Ru: 0.728 0.728 0.375

The 8 most intense peaks (2θ = 10–90°), most intense first:
| d_spacing | 2θ/deg | I/Imax |
| --- | --- | --- |
| 2.746 | 32.6 | 100 |
| 2.149 | 42.0 | 38 |
| 2.363 | 38.1 | 37 |
| 2.817 | 31.8 | 31 |
| 1.811 | 50.4 | 17 |
| 2.267 | 39.8 | 17 |
| 1.722 | 53.2 | 16 |
| 1.392 | 67.3 | 16 |

---

Record 12
Calculated powder diffractogram
Compound: Nb2Al2Au
Radiation: copper Kα
Structure: a DFT-relaxed cell (PBE, Alexandria)
Lines closer than 0.1° are merged.

Cell and atoms:
Lattice parameters (Å, degrees): 6.659 6.659 3.819 90.00 90.00 90.00
Sites, in units of the cell vectors:
Nb: 0.171 0.329 0.000
Nb: 0.329 0.829 0.000
Nb: 0.671 0.171 0.000
Nb: 0.829 0.671 0.000
Al: 0.131 0.631 0.500
Al: 0.369 0.131 0.500
Al: 0.631 0.869 0.500
Al: 0.869 0.369 0.500
Au: 0.000 0.000 0.500
Au: 0.500 0.500 0.500

The 8 most intense peaks (2θ = 10–90°), most intense first:
| d_spacing | 2θ/deg | I/Imax |
| --- | --- | --- |
| 2.510 | 35.8 | 100 |
| 2.350 | 38.3 | 90 |
| 2.966 | 30.1 | 82 |
| 2.106 | 43.0 | 68 |
| 4.708 | 18.8 | 42 |
| 1.415 | 66.0 | 38 |
| 1.452 | 64.2 | 26 |
| 1.910 | 47.6 | 24 |